Entry 1:
# Na2HfTaSi2PO12
Calculated X-ray diffraction stick pattern, Cu Kα. Input: a DFT-relaxed cell (GGA-PBE, the Materials Project).

Structure:
```
Na2HfTaSi2PO12
1.0
7.778 -4.515 0.000
7.778 4.515 0.000
-5.168 0.000 7.579
Na Hf Ta Si P O
4 2 2 4 2 24
direct
0.061 0.939 0.500
0.335 0.813 0.242
0.813 0.335 0.742
0.939 0.061 0.000
0.170 0.668 0.810
0.668 0.170 0.310
0.464 0.964 0.685
0.964 0.464 0.185
0.069 0.275 0.496
0.275 0.069 0.996
0.776 0.856 0.500
0.856 0.776 0.000
0.356 0.569 0.499
0.569 0.356 0.999
0.036 0.306 0.317
0.036 0.751 0.978
0.089 0.248 0.017
0.104 0.448 0.664
0.184 0.542 0.334
0.243 0.900 0.983
0.248 0.089 0.517
0.306 0.036 0.817
0.327 0.601 0.663
0.369 0.744 0.514
0.410 0.529 0.977
0.448 0.104 0.164
0.529 0.410 0.477
0.542 0.184 0.834
0.593 0.878 0.520
0.601 0.327 0.163
0.674 0.822 0.829
0.744 0.369 0.014
0.751 0.036 0.478
0.822 0.674 0.329
0.832 0.952 0.174
0.878 0.593 0.020
0.900 0.243 0.483
0.952 0.832 0.674
```

Principal peaks in the range 15° ≤ 2θ ≤ 90°, sorted by position:
- 19.32°, d 4.593, I 82.8
- 19.72°, d 4.502, I 100.0
- 22.97°, d 3.871, I 14.9
- 27.74°, d 3.215, I 41.8
- 30.84°, d 2.900, I 62.3
- 34.22°, d 2.620, I 18.9
- 34.43°, d 2.605, I 34.1
- 44.27°, d 2.046, I 12.7
- 46.99°, d 1.934, I 14.9
- 50.66°, d 1.802, I 14.4

***

Entry 2:
# K2Nb3Se6
Calculated X-ray diffraction stick pattern, Cu Kα. Input: a DFT-relaxed cell (GGA-PBE, the Materials Project).

Structure:
```
K2Nb3Se6
1.0
16.717 0.000 0.000
0.000 5.342 3.084
0.000 -5.342 3.084
K Nb Se
4 6 12
direct
0.000 0.167 0.833
0.000 0.833 0.167
0.500 0.167 0.500
0.500 0.500 0.167
0.250 0.167 0.833
0.250 0.499 0.499
0.250 0.833 0.167
0.750 0.167 0.833
0.750 0.499 0.499
0.750 0.833 0.167
0.152 0.169 0.169
0.152 0.500 0.831
0.152 0.831 0.500
0.348 0.164 0.164
0.348 0.502 0.834
0.348 0.834 0.502
0.652 0.164 0.164
0.652 0.502 0.834
0.652 0.834 0.502
0.848 0.169 0.169
0.848 0.500 0.831
0.848 0.831 0.500
```

Principal peaks in the range 15° ≤ 2θ ≤ 90°, sorted by position:
- 28.95°, d 3.084, I 36.2
- 30.90°, d 2.894, I 26.8
- 36.20°, d 2.482, I 100.0
- 43.79°, d 2.067, I 49.5
- 51.31°, d 1.781, I 34.2
- 52.55°, d 1.742, I 12.1
- 64.40°, d 1.447, I 17.8
- 69.69°, d 1.349, I 12.2
- 78.48°, d 1.219, I 13.0
- 86.72°, d 1.123, I 15.8